Computed X-ray diffraction stick pattern
Compound: KVF4
Radiation: Cu Kα (λ = 1.5418 Å)
Structure: a DFT-relaxed cell (GGA+U, Alexandria)
Intensities are scaled so that the largest is 100.

Principal peaks in the range 2θ = 10–80°, in order of rising 2θ:
Position (°2θ)	Rel. int.
14.1	53
23.6	100
26.3	43
27.1	99
28.5	53
33.2	48

Structural model:
Lattice parameters (Å, degrees): 12.534 7.736 7.904 90.00 90.00 90.00
Space group Pnma (No. 62)
One atom of each set of equivalent atoms:
K 0.012 0.250 0.124 x4
K 0.026 0.250 0.626 x4
V 0.248 0.501 0.375 x8
F 0.097 0.047 0.366 x8
F 0.101 0.050 0.885 x8
F 0.211 0.750 0.419 x4
F 0.216 0.750 0.831 x4
F 0.247 0.048 0.625 x8